1.
Structure and simulated PXRD pattern of Sr2LiAlHg6 (DFT lattice parameters and positions (PBE); a wavelength of 1.5418 Å).

Principal peaks in the range 5 to 70 degrees two-theta, low angle first:
29.58 deg, I = 100; 30.38 deg, I = 94; 34.58 deg, I = 37; 34.77 deg, I = 36; 34.92 deg, I = 36; 58.90 deg, I = 29

Unit cell a=7.305 b=7.305 c=7.145 alpha=119.14 beta=119.14 gamma=90.49
Atoms (fractional coordinates):
Sr1 0.249 0.751 0.000
Sr2 0.751 0.249 0.000
Li1 0.500 0.500 0.500
Al1 0.000 0.000 0.500
Hg1 0.257 0.257 0.498
Hg2 0.257 0.743 0.500
Hg3 0.259 0.259 0.015
Hg4 0.741 0.741 0.985
Hg5 0.743 0.257 0.500
Hg6 0.743 0.743 0.502

---

2.
Structure and simulated PXRD pattern of Tb2ScAl6 (DFT lattice parameters and positions (PBE); a wavelength of 1.5418 Å).

Principal peaks in the range 5 to 70 degrees two-theta, low angle first:
13.00 deg, I = 29; 22.61 deg, I = 56; 34.85 deg, I = 100; 39.70 deg, I = 46; 53.83 deg, I = 34; 68.93 deg, I = 43

Unit cell a=7.866 b=7.866 c=3.406 alpha=90.00 beta=90.00 gamma=120.00
Atoms (fractional coordinates):
Tb1 0.333 0.667 0.000
Tb2 0.667 0.333 0.000
Sc1 0.000 0.000 0.000
Al1 0.000 0.330 0.500
Al2 0.000 0.670 0.500
Al3 0.330 0.000 0.500
Al4 0.330 0.330 0.500
Al5 0.670 0.000 0.500
Al6 0.670 0.670 0.500

---

3.
Structure and simulated PXRD pattern of ThMgBi3 (DFT lattice parameters and positions (PBE); a wavelength of 1.5418 Å).

Principal peaks in the range 5 to 70 degrees two-theta, low angle first:
6.26 deg, I = 57; 30.06 deg, I = 100; 30.32 deg, I = 58; 31.68 deg, I = 58; 33.32 deg, I = 62; 33.55 deg, I = 52

Unit cell a=14.120 b=6.554 c=6.489 alpha=90.00 beta=90.00 gamma=90.00
Atoms (fractional coordinates):
Th1 0.183 0.001 0.250
Th2 0.183 0.499 0.750
Th3 0.817 0.501 0.250
Th4 0.817 0.999 0.750
Mg1 0.395 0.250 0.000
Mg2 0.395 0.250 0.500
Mg3 0.605 0.750 0.000
Mg4 0.605 0.750 0.500
Bi1 0.000 0.250 0.000
Bi2 0.000 0.250 0.500
Bi3 0.000 0.750 0.000
Bi4 0.000 0.750 0.500
Bi5 0.235 0.002 0.750
Bi6 0.235 0.498 0.250
Bi7 0.419 0.647 0.750
Bi8 0.419 0.853 0.250
Bi9 0.581 0.147 0.750
Bi10 0.581 0.353 0.250
Bi11 0.765 0.502 0.750
Bi12 0.765 0.998 0.250

---

4.
Structure and simulated PXRD pattern of PrCu6 (DFT lattice parameters and positions (PBE); a wavelength of 1.5418 Å).

Principal peaks in the range 5 to 70 degrees two-theta, low angle first:
37.16 deg, I = 64; 38.56 deg, I = 57; 38.74 deg, I = 42; 38.96 deg, I = 100; 45.69 deg, I = 47; 45.83 deg, I = 50

Unit cell a=5.162 b=10.144 c=8.080 alpha=90.00 beta=90.69 gamma=90.00
Atoms (fractional coordinates):
Pr1 0.245 0.063 0.239
Pr2 0.245 0.437 0.739
Pr3 0.755 0.563 0.261
Pr4 0.755 0.937 0.761
Cu1 0.002 0.191 0.567
Cu2 0.002 0.309 0.067
Cu3 0.251 0.517 0.100
Cu4 0.251 0.983 0.600
Cu5 0.252 0.143 0.852
Cu6 0.252 0.357 0.352
Cu7 0.252 0.744 0.681
Cu8 0.252 0.756 0.181
Cu9 0.263 0.598 0.433
Cu10 0.263 0.902 0.933
Cu11 0.491 0.190 0.565
Cu12 0.491 0.310 0.065
Cu13 0.509 0.690 0.935
Cu14 0.509 0.810 0.435
Cu15 0.737 0.098 0.067
Cu16 0.737 0.402 0.567
Cu17 0.748 0.244 0.819
Cu18 0.748 0.256 0.319
Cu19 0.748 0.643 0.648
Cu20 0.748 0.857 0.148
Cu21 0.749 0.017 0.400
Cu22 0.749 0.483 0.900
Cu23 0.998 0.691 0.933
Cu24 0.998 0.809 0.433

---

5.
Structure and simulated PXRD pattern of OsSe (DFT lattice parameters and positions (PBE); a wavelength of 1.5418 Å).

Principal peaks in the range 5 to 70 degrees two-theta, low angle first:
14.12 deg, I = 100; 23.99 deg, I = 14; 29.18 deg, I = 36; 39.81 deg, I = 32; 41.30 deg, I = 16; 47.56 deg, I = 22

Unit cell a=8.559 b=3.738 c=6.310 alpha=90.00 beta=96.11 gamma=90.00
Atoms (fractional coordinates):
Os1 0.132 0.000 0.467
Os2 0.368 0.500 0.533
Os3 0.632 0.500 0.467
Os4 0.868 0.000 0.533
Se1 0.165 0.500 0.227
Se2 0.335 0.000 0.773
Se3 0.665 0.000 0.227
Se4 0.835 0.500 0.773